RbNaTiO3: computed powder diffraction line list (Cu Kα X-rays), based on a GGA-PBE-relaxed structure.
Peak positions follow from Bragg's law for the DFT cell and can differ from measured ones.

The 10 most intense peaks (2θ from 10° to 90°), low angle first:
| index | d (Å) | 2θ (°) | Rel. int. |
| --- | --- | --- | --- |
| 1 1 -1 | 3.905 | 22.8 | 255 |
| 2 0 0 | 2.973 | 30.1 | 697 |
| 0 0 2 | 2.793 | 32.0 | 1000 |
| 1 3 -1 | 2.779 | 32.2 | 893 |
| 1 3 1 | 2.720 | 32.9 | 993 |
| 2 2 0 | 2.625 | 34.2 | 277 |
| 0 2 2 | 2.497 | 36.0 | 258 |
| 2 0 -2 | 2.084 | 43.4 | 476 |
| 2 0 2 | 1.989 | 45.6 | 404 |
| 1 3 -3 | 1.621 | 56.8 | 332 |

Atomic structure:
a b c (Å): 5.9524 11.1881 5.5863
angles (deg): 90.00 92.68 90.00
Space group C2/c (No. 15)
Inequivalent atoms, fractional coordinates:
Rb (0.0000, 0.2325, 0.2500) [4 per cell]
Na (0.0000, 0.0755, 0.7500) [4 per cell]
Ti (0.0000, 0.4484, 0.7500) [4 per cell]
O (0.0000, 0.2896, 0.7500) [4 per cell]
O (0.2137, 0.4911, 0.4979) [8 per cell]